Simulated powder X-ray diffraction pattern of Pr2Pd7 for CuKα, from a crystal structure in Alexandria, relaxed with GGA-PBE.

```
Pr2Pd7
1.0
2.7111 1.5652 13.6102
-2.7111 1.5652 13.6102
0.0000 -3.1305 13.6102
Pr Pd
4 14
direct
0.0491 0.0491 0.0491
0.1465 0.1465 0.1465
0.8535 0.8535 0.8535
0.9509 0.9509 0.9509
0.0000 0.5000 0.5000
0.1093 0.6130 0.6130
0.2773 0.2773 0.2773
0.3870 0.3870 0.8907
0.3870 0.8907 0.3870
0.3892 0.3892 0.3892
0.5000 0.0000 0.5000
0.5000 0.5000 0.0000
0.5000 0.5000 0.5000
0.6108 0.6108 0.6108
0.6130 0.1093 0.6130
0.6130 0.6130 0.1093
0.7227 0.7227 0.7227
0.8907 0.3870 0.3870
```

Peak list (12 most intense, 10 to 80 degrees two-theta, by angle)
d = 3.081 Å, I 17; d = 2.912 Å, I 18; d = 2.711 Å, I 28; d = 2.344 Å, I 27; d = 2.328 Å, I 100; d = 2.268 Å, I 22; d = 2.178 Å, I 10; d = 2.138 Å, I 12; d = 2.133 Å, I 26; d = 1.580 Å, I 7; d = 1.480 Å, I 22; d = 1.356 Å, I 23

Simulated powder X-ray diffraction pattern of NaZn3Hg3 for CuKα, from a crystal structure in Alexandria, relaxed with GGA-PBE.

```
NaZn3Hg3
1.0
7.4875 0.0000 0.0000
0.0000 7.4875 0.0000
0.0000 0.0000 7.4875
Na Zn Hg
2 6 6
direct
0.0000 0.0000 0.0000
0.5000 0.5000 0.5000
0.0000 0.2500 0.5000
0.0000 0.7500 0.5000
0.2500 0.5000 0.0000
0.5000 0.0000 0.2500
0.5000 0.0000 0.7500
0.7500 0.5000 0.0000
0.0000 0.5000 0.2500
0.0000 0.5000 0.7500
0.2500 0.0000 0.5000
0.5000 0.2500 0.0000
0.5000 0.7500 0.0000
0.7500 0.0000 0.5000
```

Peak list (12 most intense, 10 to 80 degrees two-theta, by angle)
d = 5.294 Å, I 100; d = 3.744 Å, I 32; d = 3.348 Å, I 72; d = 3.057 Å, I 78; d = 2.647 Å, I 18; d = 2.368 Å, I 27; d = 2.161 Å, I 71; d = 2.077 Å, I 21; d = 2.001 Å, I 47; d = 1.872 Å, I 39; d = 1.634 Å, I 20; d = 1.324 Å, I 25

Simulated powder X-ray diffraction pattern of Pr3S2Cl2 for CuKα, from a crystal structure in Alexandria, relaxed with GGA-PBE.

```
Pr3S2Cl2
1.0
4.1320 0.0000 0.0000
0.0019 6.8637 0.0000
2.0602 1.3990 6.7246
Pr S Cl
3 2 2
direct
0.0000 0.0000 0.0000
0.2562 0.7487 0.4887
0.7438 0.2513 0.5113
0.1295 0.3724 0.7394
0.8705 0.6276 0.2606
0.3879 0.1629 0.2233
0.6121 0.8371 0.7767
```

Peak list (12 most intense, 10 to 80 degrees two-theta, by angle)
d = 6.722 Å, I 40; d = 5.327 Å, I 18; d = 3.362 Å, I 25; d = 3.319 Å, I 36; d = 3.285 Å, I 19; d = 2.924 Å, I 100; d = 2.787 Å, I 48; d = 2.637 Å, I 14; d = 2.068 Å, I 38; d = 2.035 Å, I 32; d = 2.000 Å, I 31; d = 1.660 Å, I 20

Simulated powder X-ray diffraction pattern of NpBeH6Pd for CuKα, from a crystal structure in Alexandria, relaxed with GGA-PBE.

```
NpBeH6Pd
1.0
4.2997 0.0000 0.0000
-2.1499 3.7237 0.0000
0.0000 0.0000 4.3447
Np Be H Pd
1 1 6 1
direct
0.0000 0.0000 0.0000
0.6667 0.3333 0.5000
0.5126 0.0251 0.2130
0.5126 0.0251 0.7870
0.5126 0.4874 0.2130
0.5126 0.4874 0.7870
0.9749 0.4874 0.2130
0.9749 0.4874 0.7870
0.3333 0.6667 0.5000
```

Peak list (12 most intense, 10 to 80 degrees two-theta, by angle)
d = 4.345 Å, I 7; d = 3.724 Å, I 40; d = 2.827 Å, I 100; d = 2.172 Å, I 10; d = 2.150 Å, I 30; d = 1.876 Å, I 13; d = 1.862 Å, I 7; d = 1.711 Å, I 23; d = 1.528 Å, I 21; d = 1.350 Å, I 11; d = 1.339 Å, I 21; d = 1.241 Å, I 5

Simulated powder X-ray diffraction pattern of K2GeTe4 for CuKα, from a crystal structure in Alexandria, relaxed with GGA-PBE.

```
K2GeTe4
1.0
12.8648 0.0000 0.0000
0.0000 8.6505 0.0000
-2.5723 0.0000 9.9691
K Ge Te
8 4 16
direct
0.0450 0.0630 0.2114
0.0450 0.4370 0.7114
0.3432 0.0713 0.6992
0.3432 0.4287 0.1992
0.6568 0.5713 0.8008
0.6568 0.9287 0.3008
0.9550 0.5630 0.2886
0.9550 0.9370 0.7886
0.2564 0.6436 0.5346
0.2564 0.8564 0.0346
0.7436 0.1436 0.9654
0.7436 0.3564 0.4654
0.1120 0.6519 0.0253
0.1120 0.8481 0.5253
0.2034 0.1382 0.9621
0.2034 0.3618 0.4621
0.3487 0.5280 0.7747
0.3487 0.9720 0.2747
0.4294 0.7353 0.4544
0.4294 0.7647 0.9544
0.5706 0.2353 0.0456
0.5706 0.2647 0.5456
0.6513 0.0280 0.7253
0.6513 0.4720 0.2253
0.7966 0.6382 0.5379
0.7966 0.8618 0.0379
0.8880 0.1519 0.4747
0.8880 0.3481 0.9747
```

Peak list (12 most intense, 10 to 80 degrees two-theta, by angle)
d = 7.105 Å, I 36; d = 4.985 Å, I 50; d = 4.929 Å, I 68; d = 3.832 Å, I 38; d = 3.743 Å, I 45; d = 3.674 Å, I 100; d = 3.381 Å, I 52; d = 3.267 Å, I 95; d = 3.205 Å, I 71; d = 3.190 Å, I 42; d = 3.006 Å, I 62; d = 2.113 Å, I 38

Simulated powder X-ray diffraction pattern of Nd4PtSe5 for CuKα, from a crystal structure in Alexandria, relaxed with GGA-PBE.

```
Nd4PtSe5
1.0
-2.1508 4.0097 8.7941
2.1508 -4.0097 8.7941
2.1508 4.0097 -8.7941
Nd Pt Se
4 1 5
direct
0.2114 0.2114 0.0000
0.2505 0.5000 0.7505
0.7495 0.5000 0.2495
0.7886 0.7886 0.0000
0.0000 0.0000 0.0000
0.0727 0.3351 0.7376
0.4026 0.6649 0.7376
0.5000 0.0000 0.5000
0.5974 0.3351 0.2624
0.9273 0.6649 0.2624
```

Peak list (12 most intense, 10 to 80 degrees two-theta, by angle)
d = 7.297 Å, I 26; d = 4.397 Å, I 35; d = 3.791 Å, I 22; d = 3.221 Å, I 16; d = 2.931 Å, I 30; d = 2.893 Å, I 100; d = 2.871 Å, I 13; d = 2.253 Å, I 75; d = 2.151 Å, I 24; d = 2.005 Å, I 19; d = 1.734 Å, I 13; d = 1.466 Å, I 15